Starting from a crystal structure in Alexandria, relaxed with PBE, the powder X-ray diffraction pattern of PmNd4Ho3 was calculated for CuKα.

Top 8 peaks for 2θ from 10° to 90°, by intensity:
30.26 deg, I = 100; 35.08 deg, I = 51; 50.46 deg, I = 36; 59.95 deg, I = 29; 82.11 deg, I = 15; 60.02 deg, I = 14; 62.94 deg, I = 12; 84.80 deg, I = 11

Cell and atoms:
```
data_PmNd4Ho3
_chemical_formula_sum 'Pm2 Nd8 Ho6'
_cell_length_a 10.246
_cell_length_b 7.232
_cell_length_c 7.227
_cell_angle_alpha 90.00
_cell_angle_beta 90.00
_cell_angle_gamma 90.00
_space_group_name_H-M_alt 'P 1'
_space_group_IT_number 1
loop_
_space_group_symop_operation_xyz
'x,y,z'
loop_
_atom_site_label
_atom_site_type_symbol
_atom_site_fract_x
_atom_site_fract_y
_atom_site_fract_z
Pm1 Pm 0.000 0.000 0.000
Pm2 Pm 0.500 0.000 0.500
Nd1 Nd 0.000 0.000 0.500
Nd2 Nd 0.000 0.500 0.000
Nd3 Nd 0.250 0.251 0.250
Nd4 Nd 0.250 0.749 0.750
Nd5 Nd 0.500 0.000 0.000
Nd6 Nd 0.500 0.500 0.500
Nd7 Nd 0.750 0.251 0.250
Nd8 Nd 0.750 0.749 0.750
Ho1 Ho 0.000 0.500 0.500
Ho2 Ho 0.250 0.252 0.750
Ho3 Ho 0.250 0.748 0.250
Ho4 Ho 0.500 0.500 0.000
Ho5 Ho 0.750 0.252 0.750
Ho6 Ho 0.750 0.748 0.250
```


Starting from a crystal structure in Alexandria, relaxed with PBE, the powder X-ray diffraction pattern of La2Pm4Pr3 was calculated for CuKα.

Top 8 peaks for 2θ from 10° to 90°, by intensity:
32.41 deg, I = 100; 30.87 deg, I = 67; 29.10 deg, I = 51; 27.97 deg, I = 47; 58.44 deg, I = 42; 49.48 deg, I = 38; 40.80 deg, I = 31; 54.70 deg, I = 30

Cell and atoms:
```
data_La2Pm4Pr3
_chemical_formula_sum 'La2 Pm4 Pr3'
_cell_length_a 3.684
_cell_length_b 3.684
_cell_length_c 27.619
_cell_angle_alpha 90.00
_cell_angle_beta 90.00
_cell_angle_gamma 120.00
_space_group_name_H-M_alt 'P 1'
_space_group_IT_number 1
loop_
_space_group_symop_operation_xyz
'x,y,z'
loop_
_atom_site_label
_atom_site_type_symbol
_atom_site_fract_x
_atom_site_fract_y
_atom_site_fract_z
La1 La 0.000 0.000 0.000
La2 La 0.000 0.000 0.224
Pm1 Pm 0.000 0.000 0.348
Pm2 Pm 0.000 0.000 0.566
Pm3 Pm 0.333 0.667 0.672
Pm4 Pm 0.333 0.667 0.890
Pr1 Pr 0.000 0.000 0.782
Pr2 Pr 0.333 0.667 0.115
Pr3 Pr 0.333 0.667 0.454
```


Starting from a crystal structure in Alexandria, relaxed with PBE, the powder X-ray diffraction pattern of Ac2TaFe2N6 was calculated for CuKα.

Top 8 peaks for 2θ from 10° to 90°, by intensity:
30.95 deg, I = 100; 28.44 deg, I = 76; 42.53 deg, I = 37; 33.05 deg, I = 32; 53.52 deg, I = 28; 60.86 deg, I = 23; 55.05 deg, I = 20; 64.50 deg, I = 16

Cell and atoms:
```
data_Ac2TaFe2N6
_chemical_formula_sum 'Ac2 Ta1 Fe2 N6'
_cell_length_a 6.324
_cell_length_b 6.324
_cell_length_c 6.324
_cell_angle_alpha 54.37
_cell_angle_beta 54.37
_cell_angle_gamma 54.37
_space_group_name_H-M_alt 'P 1'
_space_group_IT_number 1
loop_
_space_group_symop_operation_xyz
'x,y,z'
loop_
_atom_site_label
_atom_site_type_symbol
_atom_site_fract_x
_atom_site_fract_y
_atom_site_fract_z
Ac1 Ac 0.234 0.234 0.234
Ac2 Ac 0.766 0.766 0.766
Ta1 Ta 0.000 0.000 0.000
Fe1 Fe 0.437 0.437 0.437
Fe2 Fe 0.563 0.563 0.563
N1 N 0.242 0.242 0.747
N2 N 0.242 0.747 0.242
N3 N 0.253 0.758 0.758
N4 N 0.747 0.242 0.242
N5 N 0.758 0.253 0.758
N6 N 0.758 0.758 0.253
```


Starting from a crystal structure in Alexandria, relaxed with PBE, the powder X-ray diffraction pattern of Ho4AlAg was calculated for CuKα.

Top 8 peaks for 2θ from 10° to 90°, by intensity:
32.75 deg, I = 100; 33.72 deg, I = 85; 31.17 deg, I = 57; 35.20 deg, I = 51; 34.53 deg, I = 41; 36.48 deg, I = 40; 26.01 deg, I = 37; 52.10 deg, I = 37

Cell and atoms:
```
data_Ho4AlAg
_chemical_formula_sum 'Ho8 Al2 Ag2'
_cell_length_a 12.073
_cell_length_b 3.551
_cell_length_c 8.747
_cell_angle_alpha 90.00
_cell_angle_beta 122.36
_cell_angle_gamma 90.00
_space_group_name_H-M_alt 'P 1'
_space_group_IT_number 1
loop_
_space_group_symop_operation_xyz
'x,y,z'
loop_
_atom_site_label
_atom_site_type_symbol
_atom_site_fract_x
_atom_site_fract_y
_atom_site_fract_z
Ho1 Ho 0.000 0.000 0.000
Ho2 Ho 0.052 0.500 0.700
Ho3 Ho 0.248 0.000 0.600
Ho4 Ho 0.315 0.500 0.304
Ho5 Ho 0.500 0.500 0.000
Ho6 Ho 0.552 0.000 0.700
Ho7 Ho 0.748 0.500 0.600
Ho8 Ho 0.815 0.000 0.304
Al1 Al 0.274 0.000 0.980
Al2 Al 0.774 0.500 0.980
Ag1 Ag 0.030 0.500 0.308
Ag2 Ag 0.530 0.000 0.308
```


Starting from a crystal structure in Alexandria, relaxed with PBE, the powder X-ray diffraction pattern of Ca3Al3N5 was calculated for CuKα.

Top 8 peaks for 2θ from 10° to 90°, by intensity:
33.73 deg, I = 100; 34.49 deg, I = 67; 32.97 deg, I = 57; 30.67 deg, I = 47; 40.90 deg, I = 33; 33.28 deg, I = 27; 36.70 deg, I = 27; 40.78 deg, I = 24

Cell and atoms:
```
data_Ca3Al3N5
_chemical_formula_sum 'Ca6 Al6 N10'
_cell_length_a 5.672
_cell_length_b 6.954
_cell_length_c 8.342
_cell_angle_alpha 108.24
_cell_angle_beta 104.50
_cell_angle_gamma 95.84
_space_group_name_H-M_alt 'P 1'
_space_group_IT_number 1
loop_
_space_group_symop_operation_xyz
'x,y,z'
loop_
_atom_site_label
_atom_site_type_symbol
_atom_site_fract_x
_atom_site_fract_y
_atom_site_fract_z
Ca1 Ca 0.162 0.141 0.201
Ca2 Ca 0.166 0.362 0.883
Ca3 Ca 0.310 0.924 0.606
Ca4 Ca 0.690 0.076 0.394
Ca5 Ca 0.834 0.638 0.117
Ca6 Ca 0.838 0.859 0.799
Al1 Al 0.207 0.453 0.571
Al2 Al 0.374 0.623 0.290
Al3 Al 0.406 0.814 0.969
Al4 Al 0.594 0.186 0.031
Al5 Al 0.626 0.377 0.710
Al6 Al 0.793 0.547 0.429
N1 N 0.113 0.564 0.386
N2 N 0.246 0.723 0.109
N3 N 0.263 0.022 0.897
N4 N 0.338 0.209 0.516
N5 N 0.465 0.604 0.785
N6 N 0.535 0.396 0.215
N7 N 0.662 0.791 0.484
N8 N 0.737 0.978 0.103
N9 N 0.754 0.277 0.891
N10 N 0.887 0.436 0.614
```


Starting from a crystal structure in Alexandria, relaxed with PBE, the powder X-ray diffraction pattern of Ce5Tl2Bi2 was calculated for CuKα.

Top 8 peaks for 2θ from 10° to 90°, by intensity:
28.79 deg, I = 100; 32.48 deg, I = 74; 33.82 deg, I = 60; 34.05 deg, I = 59; 29.84 deg, I = 49; 26.05 deg, I = 40; 44.04 deg, I = 40; 61.47 deg, I = 36

Cell and atoms:
```
data_Ce5Tl2Bi2
_chemical_formula_sum 'Ce10 Tl4 Bi4'
_cell_length_a 9.100
_cell_length_b 9.100
_cell_length_c 8.504
_cell_angle_alpha 90.00
_cell_angle_beta 90.00
_cell_angle_gamma 55.21
_space_group_name_H-M_alt 'P 1'
_space_group_IT_number 1
loop_
_space_group_symop_operation_xyz
'x,y,z'
loop_
_atom_site_label
_atom_site_type_symbol
_atom_site_fract_x
_atom_site_fract_y
_atom_site_fract_z
Ce1 Ce 0.000 0.000 0.000
Ce2 Ce 0.035 0.687 0.666
Ce3 Ce 0.187 0.535 0.166
Ce4 Ce 0.313 0.965 0.666
Ce5 Ce 0.465 0.813 0.166
Ce6 Ce 0.500 0.500 0.500
Ce7 Ce 0.535 0.187 0.834
Ce8 Ce 0.687 0.035 0.334
Ce9 Ce 0.813 0.465 0.834
Ce10 Ce 0.965 0.313 0.334
Tl1 Tl 0.206 0.206 0.000
Tl2 Tl 0.294 0.294 0.500
Tl3 Tl 0.706 0.706 0.500
Tl4 Tl 0.794 0.794 0.000
Bi1 Bi 0.136 0.864 0.361
Bi2 Bi 0.364 0.636 0.861
Bi3 Bi 0.636 0.364 0.139
Bi4 Bi 0.864 0.136 0.639
```


Starting from a crystal structure in Alexandria, relaxed with PBE, the powder X-ray diffraction pattern of Pd9Pt4W was calculated for CuKα.

Top 8 peaks for 2θ from 10° to 90°, by intensity:
40.79 deg, I = 100; 41.07 deg, I = 65; 41.87 deg, I = 25; 28.15 deg, I = 24; 12.99 deg, I = 22; 68.24 deg, I = 19; 46.13 deg, I = 16; 72.75 deg, I = 15

Cell and atoms:
```
data_Pd9Pt4W
_chemical_formula_sum 'Pd18 Pt8 W2'
_cell_length_a 7.871
_cell_length_b 7.871
_cell_length_c 8.630
_cell_angle_alpha 90.00
_cell_angle_beta 90.00
_cell_angle_gamma 120.00
_space_group_name_H-M_alt 'P 1'
_space_group_IT_number 1
loop_
_space_group_symop_operation_xyz
'x,y,z'
loop_
_atom_site_label
_atom_site_type_symbol
_atom_site_fract_x
_atom_site_fract_y
_atom_site_fract_z
Pd1 Pd 0.045 0.522 0.250
Pd2 Pd 0.209 0.418 0.535
Pd3 Pd 0.209 0.418 0.965
Pd4 Pd 0.209 0.791 0.535
Pd5 Pd 0.209 0.791 0.965
Pd6 Pd 0.418 0.209 0.035
Pd7 Pd 0.418 0.209 0.465
Pd8 Pd 0.478 0.522 0.250
Pd9 Pd 0.478 0.955 0.250
Pd10 Pd 0.522 0.045 0.750
Pd11 Pd 0.522 0.478 0.750
Pd12 Pd 0.582 0.791 0.535
Pd13 Pd 0.582 0.791 0.965
Pd14 Pd 0.791 0.209 0.035
Pd15 Pd 0.791 0.209 0.465
Pd16 Pd 0.791 0.582 0.035
Pd17 Pd 0.791 0.582 0.465
Pd18 Pd 0.955 0.478 0.750
Pt1 Pt 0.000 0.000 0.000
Pt2 Pt 0.000 0.000 0.500
Pt3 Pt 0.115 0.229 0.250
Pt4 Pt 0.115 0.885 0.250
Pt5 Pt 0.229 0.115 0.750
Pt6 Pt 0.771 0.885 0.250
Pt7 Pt 0.885 0.115 0.750
Pt8 Pt 0.885 0.771 0.750
W1 W 0.333 0.667 0.750
W2 W 0.667 0.333 0.250
```


Starting from a crystal structure in Alexandria, relaxed with PBE, the powder X-ray diffraction pattern of Na2In2GeS6 was calculated for CuKα.

Top 8 peaks for 2θ from 10° to 90°, by intensity:
13.41 deg, I = 100; 28.42 deg, I = 42; 25.60 deg, I = 36; 16.53 deg, I = 29; 30.77 deg, I = 29; 23.40 deg, I = 23; 29.57 deg, I = 20; 30.20 deg, I = 20

Cell and atoms:
```
data_Na2In2GeS6
_chemical_formula_sum 'Na4 In4 Ge2 S12'
_cell_length_a 7.330
_cell_length_b 7.330
_cell_length_c 12.512
_cell_angle_alpha 105.71
_cell_angle_beta 105.71
_cell_angle_gamma 66.40
_space_group_name_H-M_alt 'P 1'
_space_group_IT_number 1
loop_
_space_group_symop_operation_xyz
'x,y,z'
loop_
_atom_site_label
_atom_site_type_symbol
_atom_site_fract_x
_atom_site_fract_y
_atom_site_fract_z
Na1 Na 0.073 0.927 0.500
Na2 Na 0.517 0.929 0.177
Na3 Na 0.927 0.073 0.000
Na4 Na 0.929 0.517 0.677
In1 In 0.305 0.419 0.013
In2 In 0.419 0.305 0.513
In3 In 0.458 0.628 0.817
In4 In 0.628 0.458 0.317
Ge1 Ge 0.079 0.513 0.257
Ge2 Ge 0.513 0.079 0.757
S1 S 0.220 0.222 0.818
S2 S 0.222 0.220 0.318
S3 S 0.224 0.620 0.631
S4 S 0.268 0.709 0.309
S5 S 0.302 0.746 0.987
S6 S 0.460 0.986 0.570
S7 S 0.620 0.224 0.131
S8 S 0.703 0.804 0.836
S9 S 0.709 0.268 0.809
S10 S 0.746 0.302 0.487
S11 S 0.804 0.703 0.336
S12 S 0.986 0.460 0.070
```


Starting from a crystal structure in Alexandria, relaxed with PBE, the powder X-ray diffraction pattern of NaLa2GaO5 was calculated for CuKα.

Top 8 peaks for 2θ from 10° to 90°, by intensity:
30.16 deg, I = 100; 32.92 deg, I = 89; 15.16 deg, I = 69; 42.69 deg, I = 64; 30.59 deg, I = 37; 18.25 deg, I = 32; 29.04 deg, I = 31; 44.46 deg, I = 31

Cell and atoms:
```
data_NaLa2GaO5
_chemical_formula_sum 'Na2 La4 Ga2 O10'
_cell_length_a 6.874
_cell_length_b 6.874
_cell_length_c 5.845
_cell_angle_alpha 90.00
_cell_angle_beta 90.00
_cell_angle_gamma 90.00
_space_group_name_H-M_alt 'P 1'
_space_group_IT_number 1
loop_
_space_group_symop_operation_xyz
'x,y,z'
loop_
_atom_site_label
_atom_site_type_symbol
_atom_site_fract_x
_atom_site_fract_y
_atom_site_fract_z
Na1 Na 0.000 0.000 0.000
Na2 Na 0.500 0.500 0.000
La1 La 0.181 0.319 0.500
La2 La 0.319 0.819 0.500
La3 La 0.681 0.181 0.500
La4 La 0.819 0.681 0.500
Ga1 Ga 0.000 0.500 0.000
Ga2 Ga 0.500 0.000 0.000
O1 O 0.000 0.000 0.500
O2 O 0.134 0.634 0.236
O3 O 0.134 0.634 0.764
O4 O 0.366 0.134 0.236
O5 O 0.366 0.134 0.764
O6 O 0.500 0.500 0.500
O7 O 0.634 0.866 0.236
O8 O 0.634 0.866 0.764
O9 O 0.866 0.366 0.236
O10 O 0.866 0.366 0.764
```


Starting from a crystal structure in Alexandria, relaxed with PBE, the powder X-ray diffraction pattern of Zr2TiPb3O9 was calculated for CuKα.

Top 8 peaks for 2θ from 10° to 90°, by intensity:
30.57 deg, I = 100; 30.16 deg, I = 99; 43.48 deg, I = 51; 21.35 deg, I = 46; 54.09 deg, I = 41; 37.59 deg, I = 25; 48.65 deg, I = 23; 54.34 deg, I = 20

Cell and atoms:
```
data_Zr2TiPb3O9
_chemical_formula_sum 'Zr2 Ti1 Pb3 O9'
_cell_length_a 5.848
_cell_length_b 5.848
_cell_length_c 7.307
_cell_angle_alpha 90.00
_cell_angle_beta 90.00
_cell_angle_gamma 120.00
_space_group_name_H-M_alt 'P 1'
_space_group_IT_number 1
loop_
_space_group_symop_operation_xyz
'x,y,z'
loop_
_atom_site_label
_atom_site_type_symbol
_atom_site_fract_x
_atom_site_fract_y
_atom_site_fract_z
Zr1 Zr 0.000 0.000 0.000
Zr2 Zr 0.333 0.667 0.345
Ti1 Ti 0.667 0.333 0.675
Pb1 Pb 0.000 0.000 0.547
Pb2 Pb 0.333 0.667 0.882
Pb3 Pb 0.667 0.333 0.228
O1 O 0.174 0.348 0.139
O2 O 0.174 0.826 0.139
O3 O 0.334 0.167 0.797
O4 O 0.511 0.021 0.481
O5 O 0.511 0.489 0.481
O6 O 0.652 0.826 0.139
O7 O 0.833 0.167 0.797
O8 O 0.833 0.666 0.797
O9 O 0.979 0.489 0.481
```


Starting from a crystal structure in Alexandria, relaxed with PBE, the powder X-ray diffraction pattern of TaCdIr was calculated for CuKα.

Top 8 peaks for 2θ from 10° to 90°, by intensity:
36.92 deg, I = 100; 38.75 deg, I = 95; 41.81 deg, I = 71; 65.58 deg, I = 37; 48.08 deg, I = 26; 75.47 deg, I = 25; 18.60 deg, I = 22; 71.95 deg, I = 22

Cell and atoms:
```
data_TaCdIr
_chemical_formula_sum 'Ta2 Cd2 Ir2'
_cell_length_a 2.944
_cell_length_b 3.785
_cell_length_c 9.542
_cell_angle_alpha 90.00
_cell_angle_beta 90.00
_cell_angle_gamma 90.00
_space_group_name_H-M_alt 'P 1'
_space_group_IT_number 1
loop_
_space_group_symop_operation_xyz
'x,y,z'
loop_
_atom_site_label
_atom_site_type_symbol
_atom_site_fract_x
_atom_site_fract_y
_atom_site_fract_z
Ta1 Ta 0.000 0.000 0.184
Ta2 Ta 0.000 0.000 0.816
Cd1 Cd 0.000 0.000 0.500
Cd2 Cd 0.500 0.500 0.000
Ir1 Ir 0.500 0.500 0.316
Ir2 Ir 0.500 0.500 0.684
```


Starting from a crystal structure in Alexandria, relaxed with PBE, the powder X-ray diffraction pattern of Ta2MnBe16 was calculated for CuKα.

Top 8 peaks for 2θ from 10° to 90°, by intensity:
23.84 deg, I = 100; 34.85 deg, I = 58; 16.03 deg, I = 32; 41.92 deg, I = 29; 49.45 deg, I = 28; 48.79 deg, I = 21; 25.05 deg, I = 20; 36.45 deg, I = 18

Cell and atoms:
```
data_Ta2MnBe16
_chemical_formula_sum 'Ta2 Mn1 Be16'
_cell_length_a 5.587
_cell_length_b 5.587
_cell_length_c 5.587
_cell_angle_alpha 83.85
_cell_angle_beta 83.85
_cell_angle_gamma 83.85
_space_group_name_H-M_alt 'P 1'
_space_group_IT_number 1
loop_
_space_group_symop_operation_xyz
'x,y,z'
loop_
_atom_site_label
_atom_site_type_symbol
_atom_site_fract_x
_atom_site_fract_y
_atom_site_fract_z
Ta1 Ta 0.000 0.000 0.000
Ta2 Ta 0.318 0.318 0.318
Mn1 Mn 0.552 0.552 0.552
Be1 Be 0.003 0.003 0.494
Be2 Be 0.003 0.494 0.003
Be3 Be 0.156 0.654 0.654
Be4 Be 0.306 0.306 0.810
Be5 Be 0.306 0.810 0.306
Be6 Be 0.365 0.652 0.938
Be7 Be 0.365 0.938 0.652
Be8 Be 0.494 0.003 0.003
Be9 Be 0.652 0.365 0.938
Be10 Be 0.652 0.938 0.365
Be11 Be 0.654 0.156 0.654
Be12 Be 0.654 0.654 0.156
Be13 Be 0.759 0.759 0.759
Be14 Be 0.810 0.306 0.306
Be15 Be 0.938 0.365 0.652
Be16 Be 0.938 0.652 0.365
```